Ba3Cd4Au4: simulated powder diffraction line list (λ = 1.5418 Å (Cu Kα)), based on DFT lattice parameters and positions (GGA-PBE).

Top 10 peaks for 2θ = 5–70°, sorted by position:
2θ/deg	d (Å)	I/Imax
20.12	4.413	28.8
27.99	3.188	39.3
28.74	3.107	55.9
29.83	2.995	96.5
32.53	2.753	22.9
37.66	2.388	100.0
40.44	2.230	37.6
40.62	2.221	25.7
43.82	2.066	24.5
56.44	1.630	53.1

Structural model:
```
data_Ba3Cd4Au4
_chemical_formula_sum 'Ba3 Cd4 Au4'
_cell_length_a 4.4609
_cell_length_b 4.7800
_cell_length_c 15.4918
_cell_angle_alpha 98.72
_cell_angle_beta 98.23
_cell_angle_gamma 90.03
_space_group_name_H-M_alt 'P -1'
_space_group_IT_number 2
_space_group_name_Hall '-P 1'
loop_
_atom_site_label
_atom_site_fract_x
_atom_site_fract_y
_atom_site_fract_z
_atom_site_occupancy
Ba1 0.0000 0.0000 0.0000 1
Ba2 0.1479 0.6500 0.2959 1
Cd1 0.2516 0.2515 0.5033 1
Cd2 0.4041 0.9007 0.8057 1
Au1 0.3083 0.8079 0.6181 1
Au2 0.4564 0.4502 0.9058 1
```